Theoretical powder diffractogram of NaScVF6 for Cu Kα, 1.54184 Å, from a GGA+U-relaxed structure.
No peak broadening, texture or thermal motion is included.

Crystal structure
```
data_NaScVF6
_cell_length_a 5.001
_cell_length_b 5.001
_cell_length_c 9.933
_cell_angle_alpha 90.00
_cell_angle_beta 90.00
_cell_angle_gamma 90.00
_symmetry_space_group_name_H-M 'P 42 n m'
_symmetry_Int_Tables_number 102
loop_
_symmetry_equiv_pos_as_xyz
'x,y,z'
'-y+1/2,x+1/2,z+1/2'
'-x,-y,z'
'y+1/2,-x+1/2,z+1/2'
'-x+1/2,y+1/2,z+1/2'
'y,x,z'
'x+1/2,-y+1/2,z+1/2'
'-y,-x,z'
loop_
_atom_site_label
_atom_site_type_symbol
_atom_site_fract_x
_atom_site_fract_y
_atom_site_fract_z
Na1 Na 0.000 0.000 0.000
Sc1 Sc 0.000 0.000 0.333
V1 V 0.000 0.000 0.669
F1 F 0.181 0.181 0.495
F2 F 0.200 0.200 0.185
F3 F 0.211 0.211 0.823
```

The 10 most intense peaks (2θ = 10–80°), in order of rising 2θ:
d (Å)  2theta  Rel. int.
4.467  19.88  20
3.536  25.18  100
2.761  32.43  38
2.417  37.20  40
2.236  40.33  14
1.853  49.16  69
1.768  51.70  24
1.656  55.50  13
1.499  61.88  13
1.489  62.36  30